# 1
Simulated powder XRD pattern
Compound: MgMnO2
Radiation: Cu Kα (weighted mean of Kα1 and Kα2)
Structure: a crystal structure in the Materials Project, relaxed with GGA+U
Peak positions follow from Bragg's law for the DFT cell and can differ from measured ones.

Principal peaks in the range 10° ≤ 2θ ≤ 90°, in order of rising 2θ:
h k l	2theta	I_rel
0 0 3	15.90	35
0 0 6	32.11	35
1 0 1	32.51	100
1 0 4	38.78	48
0 1 5	42.15	43
1 0 7	50.25	29
0 1 8	54.86	21
1 1 0	57.13	41
1 1 6	67.07	25
0 2 1	67.29	10

Crystal structure
a b c (Å): 3.2244 3.2244 16.7260
angles (deg): 90.00 90.00 120.00
Space group R3m (No. 160, hexagonal axes)
Symmetry-distinct sites (fractional):
Mg  0.0000  0.0000  0.0000 [3 per cell]
Mn  0.0000  0.0000  0.1624 [3 per cell]
O  0.0000  0.0000  0.3839 [3 per cell]
O  0.0000  0.0000  0.8838 [3 per cell]


# 2
Simulated powder XRD pattern
Compound: Tl3VO4
Radiation: Cu Kα (weighted mean of Kα1 and Kα2)
Structure: a crystal structure in the Materials Project, relaxed with GGA+U
Peak positions follow from Bragg's law for the DFT cell and can differ from measured ones.

Principal peaks in the range 10° ≤ 2θ ≤ 90°, in order of rising 2θ:
h k l	2theta	I_rel
1 1 0	18.07	12
0 0 2	26.90	30
1 2 1	29.06	100
2 0 0	29.68	26
2 0 2	40.48	23
1 2 3	48.87	24
0 4 2	51.13	9
3 2 1	52.29	20
2 4 2	60.24	12
3 2 3	66.71	9

Crystal structure
a b c (Å): 6.0201 8.4833 6.6292
angles (deg): 90.00 90.00 90.00
Space group Imm2 (No. 44)
Symmetry-distinct sites (fractional):
Tl  0.0000  0.0000  0.0000 [2 per cell]
Tl  0.0000  0.2311  0.5367 [4 per cell]
V  0.0000  0.5000  0.0464 [2 per cell]
O  0.0000  0.3304  0.8985 [4 per cell]
O  0.2443  0.5000  0.1938 [4 per cell]


# 3
Simulated powder XRD pattern
Compound: Tb2Mn2O7
Radiation: Cu Kα (weighted mean of Kα1 and Kα2)
Structure: a crystal structure in the Materials Project, relaxed with GGA+U
Peak positions follow from Bragg's law for the DFT cell and can differ from measured ones.

Principal peaks in the range 10° ≤ 2θ ≤ 90°, in order of rising 2θ:
h k l	2theta	I_rel
1 1 1	15.24	23
3 1 1	29.42	13
2 2 2	30.76	100
4 0 0	35.67	30
3 3 1	38.99	17
4 4 0	51.33	47
6 2 2	61.05	41
4 4 4	64.07	9
6 6 2	83.75	17
8 4 0	86.44	14

Crystal structure
a b c (Å): 10.0687 10.0687 10.0687
angles (deg): 90.00 90.00 90.00
Space group Fd-3m (No. 227, origin choice 2)
Symmetry-distinct sites (fractional):
Tb  0.0000  0.0000  0.0000 [16 per cell]
Mn  0.0000  0.0000  0.5000 [16 per cell]
O  0.0793  0.3750  0.8750 [48 per cell]
O  0.1250  0.1250  0.1250 [8 per cell]